1.
Starting from the PBE geometry in Alexandria, the X-ray diffraction stick pattern of ErSnHg4 was computed for Cu Kα (weighted mean of Kα1 and Kα2).

Structure:
```
data_ErSnHg4
_chemical_formula_sum 'Er1 Sn1 Hg4'
_symmetry_space_group_name_H-M 'P 1'
_symmetry_Int_Tables_number 1
_symmetry_space_group_name_Hall 'P 1'
_cell_length_a 3.7637
_cell_length_b 3.7637
_cell_length_c 10.6006
_cell_angle_alpha 90.00
_cell_angle_beta 90.00
_cell_angle_gamma 90.00
loop_
_atom_site_label
_atom_site_type_symbol
_atom_site_fract_x
_atom_site_fract_y
_atom_site_fract_z
Er1 Er 0.0000 0.0000 0.0000
Sn1 Sn 0.5000 0.5000 0.5000
Hg1 Hg 0.0000 0.0000 0.3254
Hg2 Hg 0.0000 0.0000 0.6746
Hg3 Hg 0.5000 0.5000 0.1634
Hg4 Hg 0.5000 0.5000 0.8366
```

Largest 10 diffraction maxima, in order of rising 2θ, 5° ≤ 2θ ≤ 70°:
- 2θ = 8.34°, d = 10.601 Å, I = 3
- 2θ = 16.73°, d = 5.300 Å, I = 2
- 2θ = 25.11°, d = 3.546 Å, I = 2
- 2θ = 33.68°, d = 2.661 Å, I = 55
- 2θ = 34.83°, d = 2.576 Å, I = 100
- 2θ = 37.83°, d = 2.378 Å, I = 1
- 2θ = 48.37°, d = 1.882 Å, I = 20
- 2θ = 51.74°, d = 1.767 Å, I = 8
- 2θ = 60.97°, d = 1.520 Å, I = 40
- 2θ = 63.17°, d = 1.472 Å, I = 18

2.
Starting from the PBE geometry in Alexandria, the X-ray diffraction stick pattern of Er3SnHg4 was computed for Cu Kα (weighted mean of Kα1 and Kα2).

Structure:
```
data_Er3SnHg4
_chemical_formula_sum 'Er3 Sn1 Hg4'
_symmetry_space_group_name_H-M 'P 1'
_symmetry_Int_Tables_number 1
_symmetry_space_group_name_Hall 'P 1'
_cell_length_a 9.9871
_cell_length_b 9.9871
_cell_length_c 4.1976
_cell_angle_alpha 101.97
_cell_angle_beta 101.97
_cell_angle_gamma 29.01
loop_
_atom_site_label
_atom_site_type_symbol
_atom_site_fract_x
_atom_site_fract_y
_atom_site_fract_z
Er1 Er 0.0000 0.0000 0.0000
Er2 Er 0.3637 0.3637 0.8634
Er3 Er 0.6363 0.6363 0.1366
Sn1 Sn 0.5000 0.5000 0.5000
Hg1 Hg 0.1215 0.1215 0.6220
Hg2 Hg 0.2422 0.2422 0.2427
Hg3 Hg 0.7578 0.7578 0.7573
Hg4 Hg 0.8785 0.8785 0.3780
```

Largest 10 diffraction maxima, in order of rising 2θ, 5° ≤ 2θ ≤ 70°:
- 2θ = 33.72°, d = 2.658 Å, I = 100
- 2θ = 35.90°, d = 2.502 Å, I = 22
- 2θ = 38.12°, d = 2.361 Å, I = 16
- 2θ = 43.10°, d = 2.099 Å, I = 13
- 2θ = 53.36°, d = 1.717 Å, I = 13
- 2θ = 57.30°, d = 1.608 Å, I = 12
- 2θ = 58.78°, d = 1.571 Å, I = 5
- 2θ = 63.14°, d = 1.473 Å, I = 17
- 2θ = 66.03°, d = 1.415 Å, I = 6
- 2θ = 66.15°, d = 1.413 Å, I = 6

3.
Starting from the PBE geometry in Alexandria, the X-ray diffraction stick pattern of Er6SnHg2 was computed for Cu Kα (weighted mean of Kα1 and Kα2).

Structure:
```
data_Er6SnHg2
_chemical_formula_sum 'Er12 Sn2 Hg4'
_symmetry_space_group_name_H-M 'P 1'
_symmetry_Int_Tables_number 1
_symmetry_space_group_name_Hall 'P 1'
_cell_length_a 8.7660
_cell_length_b 8.7660
_cell_length_c 8.7660
_cell_angle_alpha 115.14
_cell_angle_beta 112.67
_cell_angle_gamma 100.94
loop_
_atom_site_label
_atom_site_type_symbol
_atom_site_fract_x
_atom_site_fract_y
_atom_site_fract_z
Er1 Er 0.0387 0.2348 0.8039
Er2 Er 0.1894 0.2882 0.4775
Er3 Er 0.1894 0.7118 0.9012
Er4 Er 0.3267 0.0292 0.7025
Er5 Er 0.3267 0.6242 0.2975
Er6 Er 0.4309 0.2348 0.1961
Er7 Er 0.5691 0.7652 0.8039
Er8 Er 0.6733 0.3758 0.7025
Er9 Er 0.6733 0.9708 0.2975
Er10 Er 0.8106 0.2882 0.0988
Er11 Er 0.8106 0.7118 0.5225
Er12 Er 0.9613 0.7652 0.1961
Sn1 Sn 0.0000 0.0000 0.0000
Sn2 Sn 0.5000 0.5000 0.0000
Hg1 Hg 0.1300 0.6300 0.5000
Hg2 Hg 0.3406 0.0000 0.3406
Hg3 Hg 0.6594 0.0000 0.6594
Hg4 Hg 0.8700 0.3700 0.5000
```

Largest 10 diffraction maxima, in order of rising 2θ, 5° ≤ 2θ ≤ 70°:
- 2θ = 30.94°, d = 2.890 Å, I = 82
- 2θ = 32.04°, d = 2.793 Å, I = 100
- 2θ = 33.37°, d = 2.685 Å, I = 87
- 2θ = 34.57°, d = 2.594 Å, I = 73
- 2θ = 35.01°, d = 2.563 Å, I = 39
- 2θ = 37.16°, d = 2.419 Å, I = 34
- 2θ = 37.52°, d = 2.397 Å, I = 35
- 2θ = 38.29°, d = 2.351 Å, I = 38
- 2θ = 56.90°, d = 1.618 Å, I = 39
- 2θ = 59.18°, d = 1.561 Å, I = 37

4.
Starting from the PBE geometry in Alexandria, the X-ray diffraction stick pattern of ErSn2Hg2 was computed for Cu Kα (weighted mean of Kα1 and Kα2).

Structure:
```
data_ErSn2Hg2
_chemical_formula_sum 'Er2 Sn4 Hg4'
_symmetry_space_group_name_H-M 'P 1'
_symmetry_Int_Tables_number 1
_symmetry_space_group_name_Hall 'P 1'
_cell_length_a 12.4218
_cell_length_b 12.4218
_cell_length_c 4.4320
_cell_angle_alpha 90.00
_cell_angle_beta 90.00
_cell_angle_gamma 158.78
loop_
_atom_site_label
_atom_site_type_symbol
_atom_site_fract_x
_atom_site_fract_y
_atom_site_fract_z
Er1 Er 0.1475 0.8525 0.7500
Er2 Er 0.8525 0.1475 0.2500
Sn1 Sn 0.2502 0.7498 0.2500
Sn2 Sn 0.3576 0.6424 0.7500
Sn3 Sn 0.6424 0.3576 0.2500
Sn4 Sn 0.7498 0.2502 0.7500
Hg1 Hg 0.0466 0.9534 0.2500
Hg2 Hg 0.4508 0.5492 0.2500
Hg3 Hg 0.5492 0.4508 0.7500
Hg4 Hg 0.9534 0.0466 0.7500
```

Largest 10 diffraction maxima, in order of rising 2θ, 5° ≤ 2θ ≤ 70°:
- 2θ = 7.24°, d = 12.209 Å, I = 21
- 2θ = 33.61°, d = 2.666 Å, I = 100
- 2θ = 36.81°, d = 2.442 Å, I = 19
- 2θ = 39.40°, d = 2.287 Å, I = 17
- 2θ = 40.72°, d = 2.216 Å, I = 15
- 2θ = 55.02°, d = 1.669 Å, I = 12
- 2θ = 56.04°, d = 1.641 Å, I = 11
- 2θ = 64.27°, d = 1.449 Å, I = 14
- 2θ = 67.78°, d = 1.383 Å, I = 14
- 2θ = 69.59°, d = 1.351 Å, I = 13

5.
Starting from the PBE geometry in Alexandria, the X-ray diffraction stick pattern of Sr2ErHg6 was computed for Cu Kα (weighted mean of Kα1 and Kα2).

Structure:
```
data_Sr2ErHg6
_chemical_formula_sum 'Sr2 Er1 Hg6'
_symmetry_space_group_name_H-M 'P 1'
_symmetry_Int_Tables_number 1
_symmetry_space_group_name_Hall 'P 1'
_cell_length_a 6.8945
_cell_length_b 6.8945
_cell_length_c 6.3596
_cell_angle_alpha 90.00
_cell_angle_beta 90.00
_cell_angle_gamma 120.00
loop_
_atom_site_label
_atom_site_type_symbol
_atom_site_fract_x
_atom_site_fract_y
_atom_site_fract_z
Sr1 Sr 0.3333 0.6667 0.3424
Sr2 Sr 0.6667 0.3333 0.6576
Er1 Er 0.0000 0.0000 0.5000
Hg1 Hg 0.1819 0.3638 0.8239
Hg2 Hg 0.1819 0.8181 0.8239
Hg3 Hg 0.3638 0.1819 0.1761
Hg4 Hg 0.6362 0.8181 0.8239
Hg5 Hg 0.8181 0.1819 0.1761
Hg6 Hg 0.8181 0.6362 0.1761
```

Largest 10 diffraction maxima, in order of rising 2θ, 5° ≤ 2θ ≤ 70°:
- 2θ = 20.40°, d = 4.353 Å, I = 19
- 2θ = 29.47°, d = 3.031 Å, I = 21
- 2θ = 29.93°, d = 2.985 Å, I = 14
- 2θ = 31.89°, d = 2.807 Å, I = 24
- 2θ = 33.15°, d = 2.702 Å, I = 100
- 2θ = 39.95°, d = 2.257 Å, I = 14
- 2θ = 41.49°, d = 2.176 Å, I = 34
- 2θ = 53.14°, d = 1.724 Å, I = 22
- 2θ = 59.86°, d = 1.545 Å, I = 15
- 2θ = 64.08°, d = 1.453 Å, I = 13

6.
Starting from the PBE geometry in Alexandria, the X-ray diffraction stick pattern of TbEr2Hg6 was computed for Cu Kα (weighted mean of Kα1 and Kα2).

Structure:
```
data_TbEr2Hg6
_chemical_formula_sum 'Tb2 Er4 Hg12'
_symmetry_space_group_name_H-M 'P 1'
_symmetry_Int_Tables_number 1
_symmetry_space_group_name_Hall 'P 1'
_cell_length_a 9.2385
_cell_length_b 9.2385
_cell_length_c 5.4163
_cell_angle_alpha 97.73
_cell_angle_beta 97.73
_cell_angle_gamma 78.24
loop_
_atom_site_label
_atom_site_type_symbol
_atom_site_fract_x
_atom_site_fract_y
_atom_site_fract_z
Tb1 Tb 0.1259 0.8741 0.7500
Tb2 Tb 0.8741 0.1259 0.2500
Er1 Er 0.2084 0.4584 0.9155
Er2 Er 0.4584 0.2084 0.4155
Er3 Er 0.5416 0.7916 0.5845
Er4 Er 0.7916 0.5416 0.0845
Hg1 Hg 0.0136 0.7614 0.1957
Hg2 Hg 0.0981 0.3491 0.3616
Hg3 Hg 0.2386 0.9864 0.3043
Hg4 Hg 0.3208 0.5692 0.4706
Hg5 Hg 0.3491 0.0981 0.8616
Hg6 Hg 0.4308 0.6792 0.0294
Hg7 Hg 0.5692 0.3208 0.9706
Hg8 Hg 0.6509 0.9019 0.1384
Hg9 Hg 0.6792 0.4308 0.5294
Hg10 Hg 0.7614 0.0136 0.6957
Hg11 Hg 0.9019 0.6509 0.6384
Hg12 Hg 0.9864 0.2386 0.8043
```

Largest 10 diffraction maxima, in order of rising 2θ, 5° ≤ 2θ ≤ 70°:
- 2θ = 30.68°, d = 2.915 Å, I = 78
- 2θ = 33.99°, d = 2.638 Å, I = 59
- 2θ = 34.13°, d = 2.627 Å, I = 59
- 2θ = 36.30°, d = 2.475 Å, I = 100
- 2θ = 40.61°, d = 2.222 Å, I = 37
- 2θ = 40.73°, d = 2.215 Å, I = 36
- 2θ = 51.74°, d = 1.767 Å, I = 18
- 2θ = 51.84°, d = 1.764 Å, I = 19
- 2θ = 58.26°, d = 1.584 Å, I = 26
- 2θ = 61.78°, d = 1.502 Å, I = 22

7.
Starting from the PBE geometry in Alexandria, the X-ray diffraction stick pattern of TbEr4Hg was computed for Cu Kα (weighted mean of Kα1 and Kα2).

Structure:
```
data_TbEr4Hg
_chemical_formula_sum 'Tb1 Er4 Hg1'
_symmetry_space_group_name_H-M 'P 1'
_symmetry_Int_Tables_number 1
_symmetry_space_group_name_Hall 'P 1'
_cell_length_a 3.5404
_cell_length_b 3.5404
_cell_length_c 13.9478
_cell_angle_alpha 90.00
_cell_angle_beta 90.00
_cell_angle_gamma 90.00
loop_
_atom_site_label
_atom_site_type_symbol
_atom_site_fract_x
_atom_site_fract_y
_atom_site_fract_z
Tb1 Tb 0.0000 0.0000 0.0000
Er1 Er 0.0000 0.0000 0.3560
Er2 Er 0.0000 0.0000 0.6440
Er3 Er 0.5000 0.5000 0.1778
Er4 Er 0.5000 0.5000 0.8222
Hg1 Hg 0.5000 0.5000 0.5000
```

Largest 10 diffraction maxima, in order of rising 2θ, 5° ≤ 2θ ≤ 70°:
- 2θ = 6.34°, d = 13.948 Å, I = 9
- 2θ = 31.77°, d = 2.817 Å, I = 100
- 2θ = 35.87°, d = 2.503 Å, I = 39
- 2θ = 36.16°, d = 2.484 Å, I = 5
- 2θ = 38.74°, d = 2.325 Å, I = 12
- 2θ = 51.63°, d = 1.770 Å, I = 14
- 2θ = 53.82°, d = 1.703 Å, I = 18
- 2θ = 61.91°, d = 1.499 Å, I = 30
- 2θ = 65.78°, d = 1.420 Å, I = 7
- 2θ = 66.38°, d = 1.408 Å, I = 10

8.
Starting from the PBE geometry in Alexandria, the X-ray diffraction stick pattern of Tb5ErHg3 was computed for Cu Kα (weighted mean of Kα1 and Kα2).

Structure:
```
data_Tb5ErHg3
_chemical_formula_sum 'Tb10 Er2 Hg6'
_symmetry_space_group_name_H-M 'P 1'
_symmetry_Int_Tables_number 1
_symmetry_space_group_name_Hall 'P 1'
_cell_length_a 9.1088
_cell_length_b 9.1088
_cell_length_c 6.9195
_cell_angle_alpha 90.00
_cell_angle_beta 90.00
_cell_angle_gamma 120.00
loop_
_atom_site_label
_atom_site_type_symbol
_atom_site_fract_x
_atom_site_fract_y
_atom_site_fract_z
Tb1 Tb 0.0000 0.3326 0.2500
Tb2 Tb 0.0000 0.6674 0.7500
Tb3 Tb 0.3326 0.0000 0.2500
Tb4 Tb 0.3326 0.3326 0.7500
Tb5 Tb 0.3333 0.6667 0.0000
Tb6 Tb 0.3333 0.6667 0.5000
Tb7 Tb 0.6674 0.0000 0.7500
Tb8 Tb 0.6667 0.3333 0.0000
Tb9 Tb 0.6667 0.3333 0.5000
Tb10 Tb 0.6674 0.6674 0.2500
Er1 Er 0.0000 0.0000 0.0000
Er2 Er 0.0000 0.0000 0.5000
Hg1 Hg 0.0000 0.3332 0.7500
Hg2 Hg 0.0000 0.6668 0.2500
Hg3 Hg 0.3332 0.0000 0.7500
Hg4 Hg 0.3332 0.3332 0.2500
Hg5 Hg 0.6668 0.0000 0.2500
Hg6 Hg 0.6668 0.6668 0.7500
```

Largest 10 diffraction maxima, in order of rising 2θ, 5° ≤ 2θ ≤ 70°:
- 2θ = 25.75°, d = 3.460 Å, I = 10
- 2θ = 32.50°, d = 2.755 Å, I = 97
- 2θ = 34.10°, d = 2.629 Å, I = 100
- 2θ = 43.22°, d = 2.093 Å, I = 15
- 2θ = 47.82°, d = 1.902 Å, I = 33
- 2θ = 52.93°, d = 1.730 Å, I = 10
- 2θ = 60.03°, d = 1.541 Å, I = 34
- 2θ = 61.04°, d = 1.518 Å, I = 19
- 2θ = 64.48°, d = 1.445 Å, I = 32
- 2θ = 67.36°, d = 1.390 Å, I = 4

9.
Starting from the PBE geometry in Alexandria, the X-ray diffraction stick pattern of Tb3Er4Hg4 was computed for Cu Kα (weighted mean of Kα1 and Kα2).

Structure:
```
data_Tb3Er4Hg4
_chemical_formula_sum 'Tb3 Er4 Hg4'
_symmetry_space_group_name_H-M 'P 1'
_symmetry_Int_Tables_number 1
_symmetry_space_group_name_Hall 'P 1'
_cell_length_a 9.4088
_cell_length_b 9.4088
_cell_length_c 9.4088
_cell_angle_alpha 148.23
_cell_angle_beta 134.88
_cell_angle_gamma 56.24
loop_
_atom_site_label
_atom_site_type_symbol
_atom_site_fract_x
_atom_site_fract_y
_atom_site_fract_z
Tb1 Tb 0.0000 0.0000 0.0000
Tb2 Tb 0.3968 0.8968 0.5000
Tb3 Tb 0.6032 0.1032 0.5000
Er1 Er 0.0537 0.3220 0.7317
Er2 Er 0.4097 0.6780 0.7317
Er3 Er 0.5903 0.3220 0.2683
Er4 Er 0.9463 0.6780 0.2683
Hg1 Hg 0.1871 0.1871 0.0000
Hg2 Hg 0.2931 0.5000 0.7931
Hg3 Hg 0.7069 0.5000 0.2069
Hg4 Hg 0.8129 0.8129 0.0000
```

Largest 10 diffraction maxima, in order of rising 2θ, 5° ≤ 2θ ≤ 70°:
- 2θ = 29.62°, d = 3.016 Å, I = 24
- 2θ = 30.31°, d = 2.949 Å, I = 22
- 2θ = 30.72°, d = 2.910 Å, I = 100
- 2θ = 32.08°, d = 2.790 Å, I = 15
- 2θ = 32.37°, d = 2.766 Å, I = 23
- 2θ = 34.40°, d = 2.607 Å, I = 20
- 2θ = 34.84°, d = 2.575 Å, I = 48
- 2θ = 39.01°, d = 2.309 Å, I = 19
- 2θ = 40.88°, d = 2.208 Å, I = 39
- 2θ = 59.92°, d = 1.544 Å, I = 16

10.
Starting from the PBE geometry in Alexandria, the X-ray diffraction stick pattern of Tb3ErHg5 was computed for Cu Kα (weighted mean of Kα1 and Kα2).

Structure:
```
data_Tb3ErHg5
_chemical_formula_sum 'Tb6 Er2 Hg10'
_symmetry_space_group_name_H-M 'P 1'
_symmetry_Int_Tables_number 1
_symmetry_space_group_name_Hall 'P 1'
_cell_length_a 9.1056
_cell_length_b 9.1056
_cell_length_c 6.5027
_cell_angle_alpha 90.00
_cell_angle_beta 90.00
_cell_angle_gamma 120.00
loop_
_atom_site_label
_atom_site_type_symbol
_atom_site_fract_x
_atom_site_fract_y
_atom_site_fract_z
Tb1 Tb 0.0000 0.3699 0.2500
Tb2 Tb 0.0000 0.6301 0.7500
Tb3 Tb 0.3699 0.0000 0.2500
Tb4 Tb 0.3699 0.3699 0.7500
Tb5 Tb 0.6301 0.0000 0.7500
Tb6 Tb 0.6301 0.6301 0.2500
Er1 Er 0.0000 0.0000 0.0000
Er2 Er 0.0000 0.0000 0.5000
Hg1 Hg 0.0000 0.2964 0.7500
Hg2 Hg 0.0000 0.7036 0.2500
Hg3 Hg 0.2964 0.0000 0.7500
Hg4 Hg 0.2964 0.2964 0.2500
Hg5 Hg 0.3333 0.6667 0.0000
Hg6 Hg 0.3333 0.6667 0.5000
Hg7 Hg 0.6667 0.3333 0.0000
Hg8 Hg 0.6667 0.3333 0.5000
Hg9 Hg 0.7036 0.0000 0.2500
Hg10 Hg 0.7036 0.7036 0.7500
```

Largest 10 diffraction maxima, in order of rising 2θ, 5° ≤ 2θ ≤ 70°:
- 2θ = 33.06°, d = 2.709 Å, I = 23
- 2θ = 33.88°, d = 2.646 Å, I = 100
- 2θ = 34.11°, d = 2.629 Å, I = 93
- 2θ = 43.66°, d = 2.073 Å, I = 9
- 2θ = 48.84°, d = 1.865 Å, I = 31
- 2θ = 56.62°, d = 1.626 Å, I = 9
- 2θ = 60.91°, d = 1.521 Å, I = 27
- 2θ = 61.06°, d = 1.518 Å, I = 11
- 2θ = 64.11°, d = 1.453 Å, I = 9
- 2θ = 67.76°, d = 1.383 Å, I = 34

11.
Starting from the PBE geometry in Alexandria, the X-ray diffraction stick pattern of Tb2Er3Hg4 was computed for Cu Kα (weighted mean of Kα1 and Kα2).

Structure:
```
data_Tb2Er3Hg4
_chemical_formula_sum 'Tb4 Er6 Hg8'
_symmetry_space_group_name_H-M 'P 1'
_symmetry_Int_Tables_number 1
_symmetry_space_group_name_Hall 'P 1'
_cell_length_a 9.5738
_cell_length_b 9.5738
_cell_length_c 7.9869
_cell_angle_alpha 90.00
_cell_angle_beta 90.00
_cell_angle_gamma 137.62
loop_
_atom_site_label
_atom_site_type_symbol
_atom_site_fract_x
_atom_site_fract_y
_atom_site_fract_z
Tb1 Tb 0.0953 0.9047 0.9110
Tb2 Tb 0.4047 0.5953 0.4110
Tb3 Tb 0.5953 0.4047 0.5890
Tb4 Tb 0.9047 0.0953 0.0890
Er1 Er 0.0000 0.0000 0.5000
Er2 Er 0.0117 0.4883 0.7500
Er3 Er 0.4883 0.0117 0.2500
Er4 Er 0.5000 0.5000 0.0000
Er5 Er 0.5117 0.9883 0.7500
Er6 Er 0.9883 0.5117 0.2500
Hg1 Hg 0.1666 0.8334 0.5328
Hg2 Hg 0.1836 0.3164 0.7500
Hg3 Hg 0.3164 0.1836 0.2500
Hg4 Hg 0.3334 0.6666 0.0328
Hg5 Hg 0.6666 0.3334 0.9672
Hg6 Hg 0.6836 0.8164 0.7500
Hg7 Hg 0.8164 0.6836 0.2500
Hg8 Hg 0.8334 0.1666 0.4672
```

Largest 10 diffraction maxima, in order of rising 2θ, 5° ≤ 2θ ≤ 70°:
- 2θ = 29.87°, d = 2.991 Å, I = 59
- 2θ = 30.31°, d = 2.949 Å, I = 55
- 2θ = 34.29°, d = 2.615 Å, I = 100
- 2θ = 35.18°, d = 2.551 Å, I = 33
- 2θ = 37.70°, d = 2.386 Å, I = 42
- 2θ = 39.30°, d = 2.292 Å, I = 19
- 2θ = 39.96°, d = 2.256 Å, I = 29
- 2θ = 52.92°, d = 1.730 Å, I = 23
- 2θ = 62.07°, d = 1.495 Å, I = 32
- 2θ = 65.16°, d = 1.432 Å, I = 20

12.
Starting from the PBE geometry in Alexandria, the X-ray diffraction stick pattern of TbEr2Tl2Hg2 was computed for Cu Kα (weighted mean of Kα1 and Kα2).

Structure:
```
data_TbEr2Tl2Hg2
_chemical_formula_sum 'Tb1 Er2 Tl2 Hg2'
_symmetry_space_group_name_H-M 'P 1'
_symmetry_Int_Tables_number 1
_symmetry_space_group_name_Hall 'P 1'
_cell_length_a 9.2633
_cell_length_b 9.2633
_cell_length_c 9.2633
_cell_angle_alpha 31.18
_cell_angle_beta 31.18
_cell_angle_gamma 31.18
loop_
_atom_site_label
_atom_site_type_symbol
_atom_site_fract_x
_atom_site_fract_y
_atom_site_fract_z
Tb1 Tb 0.0000 0.0000 0.0000
Er1 Er 0.1327 0.1327 0.1327
Er2 Er 0.8673 0.8673 0.8673
Tl1 Tl 0.2726 0.2726 0.2726
Tl2 Tl 0.7274 0.7274 0.7274
Hg1 Hg 0.4364 0.4364 0.4364
Hg2 Hg 0.5636 0.5636 0.5636
```

Largest 10 diffraction maxima, in order of rising 2θ, 5° ≤ 2θ ≤ 70°:
- 2θ = 20.17°, d = 4.403 Å, I = 7
- 2θ = 31.50°, d = 2.840 Å, I = 100
- 2θ = 36.08°, d = 2.489 Å, I = 85
- 2θ = 41.68°, d = 2.167 Å, I = 7
- 2θ = 48.64°, d = 1.872 Å, I = 30
- 2θ = 49.59°, d = 1.838 Å, I = 5
- 2θ = 52.97°, d = 1.729 Å, I = 12
- 2θ = 62.03°, d = 1.496 Å, I = 30
- 2θ = 64.87°, d = 1.437 Å, I = 19
- 2θ = 65.77°, d = 1.420 Å, I = 7